No. 1
The following is a computed powder X-ray diffraction pattern of Pu3Cd11. It was derived from DFT lattice parameters and positions (PBE), using copper Kα.

Principal peaks in the range 2θ = 15–90°, in order of rising 2θ:
30.15°, rel. 63.3; 32.12°, rel. 26.3; 32.22°, rel. 100.0; 32.53°, rel. 65.9; 33.37°, rel. 43.0; 34.63°, rel. 98.9; 36.49°, rel. 76.6; 37.79°, rel. 69.5; 49.68°, rel. 40.3; 64.23°, rel. 40.1

Atomic structure:
abc: 8.786 8.786 8.786
angles: 147.45 101.33 87.74
Atoms (fractional coordinates):
Pu 0.000 0.000 0.000
Pu 0.270 0.270 0.000
Pu 0.730 0.730 0.000
Cd 0.001 0.634 0.367
Cd 0.135 0.855 0.280
Cd 0.266 0.634 0.633
Cd 0.350 0.500 0.850
Cd 0.425 0.145 0.280
Cd 0.500 0.000 0.500
Cd 0.575 0.855 0.720
Cd 0.650 0.500 0.150
Cd 0.734 0.366 0.367
Cd 0.865 0.145 0.720
Cd 0.999 0.366 0.633



No. 2
The following is a computed powder X-ray diffraction pattern of PuCd2. It was derived from DFT lattice parameters and positions (PBE), using copper Kα.

Principal peaks in the range 2θ = 15–90°, in order of rising 2θ:
30.04°, rel. 53.1; 35.38°, rel. 100.0; 37.01°, rel. 19.8; 53.35°, rel. 22.2; 56.87°, rel. 34.0; 62.44°, rel. 26.0; 70.83°, rel. 9.7; 73.86°, rel. 11.8; 86.58°, rel. 11.9; 89.47°, rel. 22.7

Atomic structure:
abc: 5.949 5.949 5.949
angles: 60.00 60.00 60.00
Atoms (fractional coordinates):
Pu 0.125 0.125 0.125
Pu 0.875 0.875 0.875
Cd 0.000 0.500 0.500
Cd 0.500 0.000 0.500
Cd 0.500 0.500 0.000
Cd 0.500 0.500 0.500



No. 3
The following is a computed powder X-ray diffraction pattern of PuCd3. It was derived from DFT lattice parameters and positions (PBE), using copper Kα.

Principal peaks in the range 2θ = 15–90°, in order of rising 2θ:
18.97°, rel. 11.7; 26.96°, rel. 10.3; 33.17°, rel. 100.0; 38.49°, rel. 50.0; 43.25°, rel. 6.4; 47.62°, rel. 4.9; 55.57°, rel. 33.9; 66.27°, rel. 39.6; 69.63°, rel. 11.4; 82.48°, rel. 5.4

Atomic structure:
abc: 4.678 4.678 4.678
angles: 90.00 90.00 90.00
Atoms (fractional coordinates):
Pu 0.000 0.000 0.000
Cd 0.000 0.500 0.500
Cd 0.500 0.000 0.500
Cd 0.500 0.500 0.000



No. 4
The following is a computed powder X-ray diffraction pattern of Pu6CdRh2. It was derived from DFT lattice parameters and positions (PBE), using copper Kα.

Principal peaks in the range 2θ = 15–90°, in order of rising 2θ:
32.84°, rel. 100.0; 37.99°, rel. 48.3; 38.30°, rel. 10.7; 39.38°, rel. 25.1; 54.82°, rel. 17.1; 55.05°, rel. 15.4; 63.14°, rel. 8.7; 65.39°, rel. 28.7; 65.81°, rel. 10.7; 69.56°, rel. 9.8

Atomic structure:
abc: 4.737 4.737 9.399
angles: 90.00 90.00 90.00
Atoms (fractional coordinates):
Pu 0.000 0.000 0.000
Pu 0.000 0.500 0.227
Pu 0.000 0.500 0.773
Pu 0.500 0.000 0.227
Pu 0.500 0.000 0.773
Pu 0.500 0.500 0.000
Cd 0.000 0.000 0.500
Rh 0.500 0.500 0.364
Rh 0.500 0.500 0.636



No. 5
The following is a computed powder X-ray diffraction pattern of Pu3CdRh4. It was derived from DFT lattice parameters and positions (PBE), using copper Kα.

Principal peaks in the range 2θ = 15–90°, in order of rising 2θ:
26.25°, rel. 12.6; 26.69°, rel. 5.8; 37.46°, rel. 51.9; 37.79°, rel. 100.0; 54.02°, rel. 18.2; 54.99°, rel. 8.1; 67.80°, rel. 36.2; 68.44°, rel. 16.9; 79.92°, rel. 5.8; 80.72°, rel. 10.8

Atomic structure:
abc: 7.493 7.493 7.493
angles: 142.63 142.63 53.89
Atoms (fractional coordinates):
Pu 0.000 0.000 0.000
Pu 0.258 0.258 0.000
Pu 0.742 0.742 0.000
Cd 0.500 0.500 0.000
Rh 0.124 0.624 0.500
Rh 0.376 0.876 0.500
Rh 0.624 0.124 0.500
Rh 0.876 0.376 0.500



No. 6
The following is a computed powder X-ray diffraction pattern of PuCdRh. It was derived from DFT lattice parameters and positions (PBE), using copper Kα.

Principal peaks in the range 2θ = 15–90°, in order of rising 2θ:
27.90°, rel. 44.6; 31.24°, rel. 90.4; 33.95°, rel. 100.0; 35.74°, rel. 53.5; 37.46°, rel. 71.5; 38.17°, rel. 55.1; 51.49°, rel. 33.4; 52.74°, rel. 48.8; 60.23°, rel. 25.7; 65.38°, rel. 35.3

Atomic structure:
abc: 5.929 5.929 5.092
angles: 98.58 98.58 47.77
Atoms (fractional coordinates):
Pu 0.133 0.133 0.298
Pu 0.867 0.867 0.702
Cd 0.426 0.426 0.227
Cd 0.574 0.574 0.773
Rh 0.209 0.209 0.821
Rh 0.791 0.791 0.179